Theoretical XRD peak list of NaTmTl2 for Cu Ka, from a crystal structure in the Materials Project, relaxed with PBE.
Neutral-atom scattering factors, no anomalous dispersion.

Most intense lines, 2θ from 5° to 70°, low angle first:
20.40 deg, d = 4.353 Å, rel. 135, (1 1 1)
23.60 deg, d = 3.769 Å, rel. 146, (2 0 0)
33.62 deg, d = 2.665 Å, rel. 1000, (2 2 0)
39.65 deg, d = 2.273 Å, rel. 75, (3 1 1)
41.49 deg, d = 2.176 Å, rel. 46, (2 2 2)
48.29 deg, d = 1.885 Å, rel. 183, (4 0 0)
52.94 deg, d = 1.730 Å, rel. 33, (3 3 1)
54.43 deg, d = 1.686 Å, rel. 65, (4 2 0)
60.13 deg, d = 1.539 Å, rel. 383, (4 2 2)
64.19 deg, d = 1.451 Å, rel. 25, (5 1 1)

Atomic structure:
```
data_NaTmTl2
_chemical_formula_sum 'Na4 Tm4 Tl8'
_space_group_name_H-M_alt 'F m -3 m'
_space_group_IT_number 225
_space_group_name_Hall '-F 4 2 3'
_cell_length_a 7.539
_cell_length_b 7.539
_cell_length_c 7.539
_cell_angle_alpha 90.00
_cell_angle_beta 90.00
_cell_angle_gamma 90.00
loop_
_atom_site_label
_atom_site_type_symbol
_atom_site_fract_x
_atom_site_fract_y
_atom_site_fract_z
Na1 Na 0.000 0.000 0.000
Tm1 Tm 0.000 0.000 0.500
Tl1 Tl 0.250 0.250 0.250
```



Theoretical XRD peak list of Zr2TaN3 for Cu Ka, from a crystal structure in the Materials Project, relaxed with PBE.
Neutral-atom scattering factors, no anomalous dispersion.

Most intense lines, 2θ from 5° to 70°, low angle first:
19.00 deg, d = 4.671 Å, rel. 142, (1 0 0)
33.22 deg, d = 2.697 Å, rel. 1000, (1 1 0)
34.79 deg, d = 2.579 Å, rel. 953, (1 0 1)
38.55 deg, d = 2.335 Å, rel. 84, (2 0 0)
48.87 deg, d = 1.864 Å, rel. 515, (2 0 1)
51.79 deg, d = 1.765 Å, rel. 27, (2 1 0)
59.36 deg, d = 1.557 Å, rel. 190, (3 0 0)
59.80 deg, d = 1.546 Å, rel. 77, (0 0 2)
60.37 deg, d = 1.533 Å, rel. 396, (2 1 1)
69.75 deg, d = 1.348 Å, rel. 144, (2 2 0)

Atomic structure:
```
data_Zr2TaN3
_chemical_formula_sum 'Zr2 Ta1 N3'
_space_group_name_H-M_alt 'P 6/m m m'
_space_group_IT_number 191
_space_group_name_Hall '-P 6 2'
_cell_length_a 5.3932
_cell_length_b 5.3932
_cell_length_c 3.0928
_cell_angle_alpha 90.00
_cell_angle_beta 90.00
_cell_angle_gamma 120.00
loop_
_atom_site_label
_atom_site_type_symbol
_atom_site_fract_x
_atom_site_fract_y
_atom_site_fract_z
Zr1 Zr 0.3333 0.6667 0.0000
Ta1 Ta 0.0000 0.0000 0.5000
N1 N 0.0000 0.5000 0.5000
```



Q: What is the formula in the first record?
A: NaTmTl2